# 1
SrPbO2: computed powder X-ray diffraction pattern (a wavelength of 1.5418 Å), based on the PBE geometry in Alexandria.
Lines closer than 0.1° are merged.

Peak list (6 most intense, 2θ from 5° to 70°, in order of rising 2θ)
17.6°, I = 20, (1 0 1)
27.4°, I = 100, (1 1 2)
32.0°, I = 26, (2 0 0)
45.2°, I = 31, (2 0 4)
53.1°, I = 16, (1 1 6)
54.2°, I = 33, (3 1 2)

Atomic structure:
```
data_SrPbO2
_chemical_formula_sum 'Sr4 Pb4 O8'
_symmetry_space_group_name_H-M 'I -4 2 d'
_symmetry_Int_Tables_number 122
_symmetry_space_group_name_Hall 'I -4 2bw'
_cell_length_a 5.6010
_cell_length_b 5.6010
_cell_length_c 11.4852
_cell_angle_alpha 90.00
_cell_angle_beta 90.00
_cell_angle_gamma 90.00
loop_
_atom_site_label
_atom_site_fract_x
_atom_site_fract_y
_atom_site_fract_z
Sr1 0.0000 0.0000 0.0000
Pb1 0.0000 0.0000 0.5000
O1 0.2468 0.2500 0.1250
```

# 2
Er2MnGe3: computed powder X-ray diffraction pattern (a wavelength of 1.5418 Å), based on the PBE geometry in Alexandria.
Lines closer than 0.1° are merged.

Peak list (6 most intense, 2θ from 5° to 70°, in order of rising 2θ)
28.3°, I = 29, (0 2 1)
30.5°, I = 100, (3 1 1)
34.5°, I = 30, (1 3 0)
40.8°, I = 30, (3 3 0)
41.6°, I = 23, (4 2 1)
43.5°, I = 24, (3 1 2)

Atomic structure:
```
data_Er2MnGe3
_chemical_formula_sum 'Er8 Mn4 Ge12'
_symmetry_space_group_name_H-M 'C m c m'
_symmetry_Int_Tables_number 63
_symmetry_space_group_name_Hall '-C 2c 2'
_cell_length_a 11.9722
_cell_length_b 7.9808
_cell_length_c 5.1264
_cell_angle_alpha 90.00
_cell_angle_beta 90.00
_cell_angle_gamma 90.00
loop_
_atom_site_label
_atom_site_fract_x
_atom_site_fract_y
_atom_site_fract_z
Er1 0.1462 0.1745 0.2500
Mn1 0.0000 0.4130 0.7500
Ge1 0.0000 0.1218 0.7500
Ge2 0.1635 0.5000 0.0000
```

# 3
AgSbCl5: computed powder X-ray diffraction pattern (a wavelength of 1.5418 Å), based on the PBE geometry in Alexandria.
Lines closer than 0.1° are merged.

Peak list (6 most intense, 2θ from 5° to 70°, in order of rising 2θ)
11.5°, I = 32, (1 0 0)
13.3°, I = 100, (1 1 0)
15.3°, I = 70, (1 1 -1)
17.3°, I = 30, (1 1 1)
20.1°, I = 35, (0 1 2)
23.1°, I = 59, (2 0 0)

Atomic structure:
```
data_AgSbCl5
_chemical_formula_sum 'Ag4 Sb4 Cl20'
_symmetry_space_group_name_H-M 'P 1 21/c 1'
_symmetry_Int_Tables_number 14
_cell_length_a 7.7825
_cell_length_b 13.3922
_cell_length_c 9.4634
_cell_angle_alpha 90.00
_cell_angle_beta 98.46
_cell_angle_gamma 90.00
loop_
_symmetry_equiv_pos_as_xyz
'x,y,z'
'-x,-y,-z'
'-x,y+1/2,-z+1/2'
'x,-y+1/2,z+1/2'
loop_
_atom_site_label
_atom_site_fract_x
_atom_site_fract_y
_atom_site_fract_z
Ag1 0.2481 0.2454 0.1271
Sb1 0.1506 0.5115 0.2142
Cl1 0.1171 0.0855 0.1681
Cl2 0.1199 0.6275 0.0144
Cl3 0.2433 0.1923 0.8751
Cl4 0.3656 0.6069 0.3584
Cl5 0.3747 0.0901 0.5871
```

# 4
LaDy3Er7: computed powder X-ray diffraction pattern (a wavelength of 1.5418 Å), based on the PBE geometry in Alexandria.
Lines closer than 0.1° are merged.

Peak list (6 most intense, 2θ from 5° to 70°, in order of rising 2θ)
31.5°, I = 28, (1 1 2)
31.8°, I = 100, (2 1 0)
32.0°, I = 40, (1 1 -3)
32.3°, I = 63, (2 1 -2)
32.5°, I = 74, (0 2 0)
33.1°, I = 75, (0 1 3)

Atomic structure:
```
data_LaDy3Er7
_chemical_formula_sum 'La1 Dy3 Er7'
_symmetry_space_group_name_H-M 'P 1 2/m 1'
_symmetry_Int_Tables_number 10
_cell_length_a 6.9098
_cell_length_b 5.5172
_cell_length_c 9.8451
_cell_angle_alpha 90.00
_cell_angle_beta 108.94
_cell_angle_gamma 90.00
loop_
_symmetry_equiv_pos_as_xyz
'x,y,z'
'-x,-y,-z'
'-x,y,-z'
'x,-y,z'
loop_
_atom_site_label
_atom_site_fract_x
_atom_site_fract_y
_atom_site_fract_z
La1 0.0000 0.0000 0.0000
Dy1 0.2761 0.5000 0.4940
Dy2 0.5000 0.0000 0.0000
Er1 0.0000 0.0000 0.5000
Er2 0.1488 0.5000 0.7890
Er3 0.3258 0.5000 0.1425
Er4 0.4302 0.0000 0.3321
```

# 5
CaTl5Te4: computed powder X-ray diffraction pattern (a wavelength of 1.5418 Å), based on the PBE geometry in Alexandria.
Lines closer than 0.1° are merged.

Peak list (6 most intense, 2θ from 5° to 70°, in order of rising 2θ)
23.3°, I = 48, (3 1 0)
28.7°, I = 51, (6 0 0)
30.0°, I = 100, (3 1 -2)
30.5°, I = 50, (1 1 2)
33.0°, I = 42, (4 0 2)
37.4°, I = 50, (0 2 0)

Atomic structure:
```
data_CaTl5Te4
_chemical_formula_sum 'Ca2 Tl10 Te8'
_symmetry_space_group_name_H-M 'C 1 2/m 1'
_symmetry_Int_Tables_number 12
_cell_length_a 19.2904
_cell_length_b 4.8124
_cell_length_c 8.1670
_cell_angle_alpha 90.00
_cell_angle_beta 104.13
_cell_angle_gamma 90.00
loop_
_symmetry_equiv_pos_as_xyz
'x,y,z'
'-x,-y,-z'
'-x,y,-z'
'x,-y,z'
'x+1/2,y+1/2,z'
'-x+1/2,-y+1/2,-z'
'-x+1/2,y+1/2,-z'
'x+1/2,-y+1/2,z'
loop_
_atom_site_label
_atom_site_fract_x
_atom_site_fract_y
_atom_site_fract_z
Ca1 0.0000 0.0000 0.0000
Tl1 0.0000 0.0000 0.5000
Tl2 0.1744 0.5000 0.5824
Tl3 0.1994 0.5000 0.0909
Te1 0.0552 0.5000 0.8135
Te2 0.1445 0.0000 0.3048
```

# 6
Dy8BiSe6: computed powder X-ray diffraction pattern (a wavelength of 1.5418 Å), based on the PBE geometry in Alexandria.
Lines closer than 0.1° are merged.

Peak list (6 most intense, 2θ from 5° to 70°, in order of rising 2θ)
27.7°, I = 63, (2 -1 1)
29.3°, I = 100, (3 0 0)
29.4°, I = 50, (0 2 1)
34.0°, I = 74, (3 -1 1)
40.7°, I = 62, (2 2 1)
48.8°, I = 38, (3 2 1)

Atomic structure:
```
data_Dy8BiSe6
_chemical_formula_sum 'Dy8 Bi1 Se6'
_symmetry_space_group_name_H-M 'P -3'
_symmetry_Int_Tables_number 147
_cell_length_a 10.5751
_cell_length_b 10.5751
_cell_length_c 4.0606
_cell_angle_alpha 90.00
_cell_angle_beta 90.00
_cell_angle_gamma 120.00
loop_
_symmetry_equiv_pos_as_xyz
'x,y,z'
'-x,-y,-z'
'-y,x-y,z'
'y,-x+y,-z'
'-x+y,-x,z'
'x-y,x,-z'
loop_
_atom_site_label
_atom_site_fract_x
_atom_site_fract_y
_atom_site_fract_z
Dy1 0.0369 0.3290 0.2458
Dy2 0.3333 0.6667 0.7515
Bi1 0.0000 0.0000 0.0000
Se1 0.1324 0.6492 0.2510
```

# 7
CsHg2Pb: computed powder X-ray diffraction pattern (a wavelength of 1.5418 Å), based on the PBE geometry in Alexandria.
Lines closer than 0.1° are merged.

Peak list (6 most intense, 2θ from 5° to 70°, in order of rising 2θ)
27.5°, I = 53, (0 1 3)
29.3°, I = 100, (1 1 3)
29.7°, I = 51, (2 1 2)
30.4°, I = 85, (3 0 1)
33.6°, I = 64, (0 2 0)
45.9°, I = 72, (3 2 1)

Atomic structure:
```
data_CsHg2Pb
_chemical_formula_sum 'Cs4 Hg8 Pb4'
_symmetry_space_group_name_H-M 'P n m a'
_symmetry_Int_Tables_number 62
_cell_length_a 9.0734
_cell_length_b 5.3390
_cell_length_c 12.2360
_cell_angle_alpha 90.00
_cell_angle_beta 90.00
_cell_angle_gamma 90.00
loop_
_symmetry_equiv_pos_as_xyz
'x,y,z'
'-x,-y,-z'
'-x+1/2,-y,z+1/2'
'x+1/2,y,-z+1/2'
'x+1/2,-y+1/2,-z+1/2'
'-x+1/2,y+1/2,z+1/2'
'-x,y+1/2,-z'
'x,-y+1/2,z'
loop_
_atom_site_label
_atom_site_fract_x
_atom_site_fract_y
_atom_site_fract_z
Cs1 0.1708 0.2500 0.2032
Hg1 0.1339 0.2500 0.8657
Hg2 0.1717 0.7500 0.9916
Pb1 0.9998 0.2500 0.5744
```

# 8
LaY2ThSc: computed powder X-ray diffraction pattern (a wavelength of 1.5418 Å), based on the PBE geometry in Alexandria.
Lines closer than 0.1° are merged.

Peak list (6 most intense, 2θ from 5° to 70°, in order of rising 2θ)
9.9°, I = 24, (0 0 1)
28.8°, I = 21, (1 0 2)
31.3°, I = 36, (0 2 0)
32.6°, I = 47, (2 1 -1)
32.8°, I = 100, (1 1 -3)
56.7°, I = 22, (1 3 -3)

Atomic structure:
```
data_LaY2ThSc
_chemical_formula_sum 'La2 Y4 Th2 Sc2'
_symmetry_space_group_name_H-M 'P 1 21/m 1'
_symmetry_Int_Tables_number 11
_cell_length_a 6.2650
_cell_length_b 5.7181
_cell_length_c 9.4613
_cell_angle_alpha 90.00
_cell_angle_beta 109.23
_cell_angle_gamma 90.00
loop_
_symmetry_equiv_pos_as_xyz
'x,y,z'
'-x,-y,-z'
'-x,y+1/2,-z'
'x,-y+1/2,z'
loop_
_atom_site_label
_atom_site_fract_x
_atom_site_fract_y
_atom_site_fract_z
La1 0.0739 0.2500 0.3087
Y1 0.1443 0.7500 0.1041
Y2 0.2748 0.2500 0.6975
Th1 0.4720 0.2500 0.0961
Sc1 0.3524 0.7500 0.5098
```

# 9
Li3SmAg3: computed powder X-ray diffraction pattern (a wavelength of 1.5418 Å), based on the PBE geometry in Alexandria.
Lines closer than 0.1° are merged.

Peak list (6 most intense, 2θ from 5° to 70°, in order of rising 2θ)
26.3°, I = 43, (2 0 0)
29.5°, I = 83, (2 1 0)
32.4°, I = 100, (2 1 1)
48.5°, I = 20, (3 2 0)
50.5°, I = 56, (3 2 1)
54.2°, I = 20, (4 0 0)

Atomic structure:
```
data_Li3SmAg3
_chemical_formula_sum 'Li6 Sm2 Ag6'
_symmetry_space_group_name_H-M 'P m -3 n'
_symmetry_Int_Tables_number 223
_symmetry_space_group_name_Hall '-P 4n 2 3'
_cell_length_a 6.7649
_cell_length_b 6.7649
_cell_length_c 6.7649
_cell_angle_alpha 90.00
_cell_angle_beta 90.00
_cell_angle_gamma 90.00
loop_
_atom_site_label
_atom_site_fract_x
_atom_site_fract_y
_atom_site_fract_z
Li1 0.0000 0.2500 0.5000
Sm1 0.0000 0.0000 0.0000
Ag1 0.0000 0.5000 0.2500
```

# 10
NpH6Pd8: computed powder X-ray diffraction pattern (a wavelength of 1.5418 Å), based on the PBE geometry in Alexandria.
Lines closer than 0.1° are merged.

Peak list (6 most intense, 2θ from 5° to 70°, in order of rising 2θ)
37.3°, I = 100, (1 1 1)
37.4°, I = 100, (1 1 -2)
40.8°, I = 39, (0 0 3)
44.3°, I = 31, (2 -1 0)
44.9°, I = 31, (0 3 -1)
61.8°, I = 23, (2 -1 3)

Atomic structure:
```
data_NpH6Pd8
_chemical_formula_sum 'Np1 H6 Pd8'
_symmetry_space_group_name_H-M 'P -1'
_symmetry_Int_Tables_number 2
_cell_length_a 4.0858
_cell_length_b 6.3864
_cell_length_c 6.9239
_cell_angle_alpha 105.73
_cell_angle_beta 90.05
_cell_angle_gamma 108.60
loop_
_symmetry_equiv_pos_as_xyz
'x,y,z'
'-x,-y,-z'
loop_
_atom_site_label
_atom_site_fract_x
_atom_site_fract_y
_atom_site_fract_z
Np1 0.0000 0.0000 0.0000
H1 0.0740 0.1522 0.3818
H2 0.2968 0.5814 0.7043
H3 0.3759 0.7592 0.2820
Pd1 0.1142 0.2285 0.6751
Pd2 0.2209 0.4406 0.3255
Pd3 0.3350 0.6705 0.9981
Pd4 0.4462 0.8925 0.6692
```

# 11
ErAg2Pd6: computed powder X-ray diffraction pattern (a wavelength of 1.5418 Å), based on the PBE geometry in Alexandria.
Lines closer than 0.1° are merged.

Peak list (6 most intense, 2θ from 5° to 70°, in order of rising 2θ)
36.8°, I = 49, (3 1 1)
37.8°, I = 47, (2 2 -2)
39.0°, I = 53, (1 5 0)
40.2°, I = 100, (4 2 -1)
40.3°, I = 22, (4 2 0)
41.4°, I = 31, (2 4 1)

Atomic structure:
```
data_ErAg2Pd6
_chemical_formula_sum 'Er4 Ag8 Pd24'
_symmetry_space_group_name_H-M 'C 1 2/c 1'
_symmetry_Int_Tables_number 15
_cell_length_a 9.9525
_cell_length_b 11.8996
_cell_length_c 5.4429
_cell_angle_alpha 90.00
_cell_angle_beta 103.86
_cell_angle_gamma 90.00
loop_
_symmetry_equiv_pos_as_xyz
'x,y,z'
'-x,-y,-z'
'-x,y,-z+1/2'
'x,-y,z+1/2'
'x+1/2,y+1/2,z'
'-x+1/2,-y+1/2,-z'
'-x+1/2,y+1/2,-z+1/2'
'x+1/2,-y+1/2,z+1/2'
loop_
_atom_site_label
_atom_site_fract_x
_atom_site_fract_y
_atom_site_fract_z
Er1 0.0000 0.1042 0.2500
Ag1 0.1429 0.4824 0.3689
Pd1 0.0416 0.3084 0.0116
Pd2 0.1409 0.1066 0.8136
Pd3 0.2364 0.3086 0.7052
```

# 12
Y2Fe3: computed powder X-ray diffraction pattern (a wavelength of 1.5418 Å), based on the PBE geometry in Alexandria.
Lines closer than 0.1° are merged.

Peak list (6 most intense, 2θ from 5° to 70°, in order of rising 2θ)
31.5°, I = 56, (2 4 0)
34.7°, I = 88, (0 2 2)
36.4°, I = 95, (1 5 1)
38.4°, I = 99, (3 3 1)
40.0°, I = 100, (2 2 2)
48.1°, I = 51, (1 7 1)

Atomic structure:
```
data_Y2Fe3
_chemical_formula_sum 'Y16 Fe24'
_symmetry_space_group_name_H-M 'F d d 2'
_symmetry_Int_Tables_number 43
_symmetry_space_group_name_Hall 'F 2 -2d'
_cell_length_a 9.1900
_cell_length_b 14.4236
_cell_length_c 5.5426
_cell_angle_alpha 90.00
_cell_angle_beta 90.00
_cell_angle_gamma 90.00
loop_
_atom_site_label
_atom_site_fract_x
_atom_site_fract_y
_atom_site_fract_z
Y1 0.0809 0.2993 0.0000
Fe1 0.0000 0.0000 0.2480
Fe2 0.0815 0.3756 0.5106
```

# 13
Ge2IF: computed powder X-ray diffraction pattern (a wavelength of 1.5418 Å), based on the PBE geometry in Alexandria.
Lines closer than 0.1° are merged.

Peak list (6 most intense, 2θ from 5° to 70°, in order of rising 2θ)
24.2°, I = 83, (1 0 3)
27.7°, I = 100, (1 1 2)
32.7°, I = 39, (1 0 5)
41.1°, I = 53, (2 1 1)
42.6°, I = 42, (2 0 4)
57.2°, I = 34, (2 2 4)

Atomic structure:
```
data_Ge2IF
_chemical_formula_sum 'Ge8 I4 F4'
_symmetry_space_group_name_H-M 'I -4 2 d'
_symmetry_Int_Tables_number 122
_symmetry_space_group_name_Hall 'I -4 2bw'
_cell_length_a 4.9513
_cell_length_b 4.9513
_cell_length_c 16.4505
_cell_angle_alpha 90.00
_cell_angle_beta 90.00
_cell_angle_gamma 90.00
loop_
_atom_site_label
_atom_site_fract_x
_atom_site_fract_y
_atom_site_fract_z
Ge1 0.1056 0.2500 0.1250
I1 0.0000 0.0000 0.5000
F1 0.0000 0.0000 0.0000
```